Theoretical powder diffraction line list of Ho5Zn4Co for copper Kα, from a cell relaxed with GGA-PBE.
Intensities are scaled so that the largest is 100.

Peak list (6 most intense, 10 to 80 degrees two-theta, in order of rising 2θ)
25.52°, intensity 20, hkl 1 0 0; 36.13°, intensity 100, hkl 1 0 5; 36.40°, intensity 51, hkl 1 1 0; 52.43°, intensity 18, hkl 2 0 0; 64.80°, intensity 16, hkl 1 1 10; 65.33°, intensity 35, hkl 2 1 5

```
data_Ho5Zn4Co
_space_group_name_H-M_alt 'P 4/m m m'
_space_group_IT_number 123
_space_group_name_Hall '-P 4 2'
_cell_length_a 3.490
_cell_length_b 3.490
_cell_length_c 17.708
_cell_angle_alpha 90.00
_cell_angle_beta 90.00
_cell_angle_gamma 90.00
loop_
_atom_site_label
_atom_site_type_symbol
_atom_site_fract_x
_atom_site_fract_y
_atom_site_fract_z
_atom_site_occupancy
Ho1 Ho 0.000 0.000 0.000 1
Ho2 Ho 0.000 0.000 0.204 1
Ho3 Ho 0.000 0.000 0.410 1
Zn1 Zn 0.500 0.500 0.103 1
Zn2 Zn 0.500 0.500 0.305 1
Co1 Co 0.500 0.500 0.500 1
```